[1]
Simulated X-ray powder pattern of PmSc3Cu2 for λ = 1.5418 Å (Cu Kα), from DFT lattice parameters and positions (PBE).
Peak positions follow from Bragg's law for the DFT cell and can differ from measured ones.

Structural model:
```
data_PmSc3Cu2
_space_group_name_H-M_alt 'P m c 21'
_space_group_IT_number 26
_space_group_name_Hall 'P 2c -2'
_cell_length_a 3.4862
_cell_length_b 9.1399
_cell_length_c 8.2783
_cell_angle_alpha 90.00
_cell_angle_beta 90.00
_cell_angle_gamma 90.00
loop_
_atom_site_label
_atom_site_type_symbol
_atom_site_fract_x
_atom_site_fract_y
_atom_site_fract_z
_atom_site_occupancy
Pm1 Pm 0.0000 0.0851 0.0000 1
Sc1 Sc 0.0000 0.3029 0.6416 1
Sc2 Sc 0.5000 0.2189 0.3270 1
Sc3 Sc 0.5000 0.4286 0.9719 1
Cu1 Cu 0.0000 0.4239 0.2565 1
Cu2 Cu 0.5000 0.0901 0.7120 1
```

The 10 most intense peaks (10° ≤ 2θ ≤ 90°), by intensity:
d 2.560, intensity 1000, hkl 1 1 2; d 2.628, intensity 547, hkl 1 2 1; d 2.211, intensity 399, hkl 1 3 1; d 2.859, intensity 341, hkl 0 3 1; d 2.642, intensity 275, hkl 0 1 3; d 4.001, intensity 262, hkl 0 2 1; d 3.771, intensity 159, hkl 0 1 2; d 1.743, intensity 158, hkl 2 0 0; d 2.362, intensity 157, hkl 0 2 3; d 1.508, intensity 126, hkl 1 5 2

---

[2]
Simulated X-ray powder pattern of NaCdGa2Au4 for λ = 1.5418 Å (Cu Kα), from DFT lattice parameters and positions (PBE).
Peak positions follow from Bragg's law for the DFT cell and can differ from measured ones.

Structural model:
```
data_NaCdGa2Au4
_space_group_name_H-M_alt 'R -3 m'
_space_group_IT_number 166
_space_group_name_Hall '-R 3 2"'
_cell_length_a 4.5042
_cell_length_b 4.5042
_cell_length_c 27.6274
_cell_angle_alpha 90.00
_cell_angle_beta 90.00
_cell_angle_gamma 120.00
loop_
_atom_site_label
_atom_site_type_symbol
_atom_site_fract_x
_atom_site_fract_y
_atom_site_fract_z
_atom_site_occupancy
Na1 Na 0.0000 0.0000 0.0000 1
Cd1 Cd 0.0000 0.0000 0.5000 1
Ga1 Ga 0.0000 0.0000 0.2621 1
Au1 Au 0.0000 0.0000 0.1163 1
Au2 Au 0.0000 0.0000 0.3957 1
```

The 10 most intense peaks (10° ≤ 2θ ≤ 90°), by intensity:
d 2.253, intensity 1000, hkl 1 1 0; d 2.586, intensity 640, hkl 0 1 8; d 3.397, intensity 386, hkl 1 0 4; d 4.605, intensity 211, hkl 0 0 6; d 1.698, intensity 180, hkl 2 0 8; d 1.356, intensity 170, hkl 1 2 8; d 2.023, intensity 151, hkl 1 1 6; d 1.300, intensity 130, hkl 3 0 0; d 1.268, intensity 109, hkl 1 1 18; d 1.761, intensity 109, hkl 0 1 14